1.
# Y3Cl2O6
Theoretical XRD peak list, CuKα. Input: the PBE geometry in Alexandria.

Structural model:
a b c (Å): 3.9595 12.7502 7.8725
angles (deg): 90.00 90.00 90.00
Space group Pmmn (No. 59, origin choice 2)
Symmetry-distinct sites (fractional):
Y 0.2500 0.0905 0.1303 [4 per cell]
Y 0.2500 0.7500 0.5762 [2 per cell]
Cl 0.2500 0.1356 0.6240 [4 per cell]
O 0.2500 0.2500 0.2768 [2 per cell]
O 0.2500 0.2500 0.9957 [2 per cell]
O 0.2500 0.5800 0.0141 [4 per cell]
O 0.2500 0.5904 0.7164 [4 per cell]

Peak list (10 most intense, 2θ = 15–90°, most intense first)
(hkl), d [Å], two_theta, I_rel
1 0 2, 2.792, 32.06, 100
0 2 1, 4.954, 17.90, 75
0 3 2, 2.888, 30.97, 74
1 3 0, 2.897, 30.86, 41
1 2 3, 2.069, 43.76, 39
1 1 1, 3.409, 26.14, 35
1 3 4, 1.628, 56.53, 32
2 0 0, 1.980, 45.83, 29
2 3 2, 1.633, 56.34, 26
1 3 3, 1.945, 46.70, 24

2.
# YCl2O
Theoretical XRD peak list, CuKα. Input: the PBE geometry in Alexandria.

Structural model:
a b c (Å): 6.5629 6.5629 6.5629
angles (deg): 90.00 90.00 90.00
Space group Fm-3m (No. 225)
Symmetry-distinct sites (fractional):
Y 0.0000 0.0000 0.0000 [4 per cell]
Cl 0.2500 0.2500 0.2500 [8 per cell]
O 0.0000 0.0000 0.5000 [4 per cell]

Peak list (10 most intense, 2θ = 15–90°, most intense first)
(hkl), d [Å], two_theta, I_rel
2 2 0, 2.320, 38.81, 100
1 1 1, 3.789, 23.48, 44
4 2 2, 1.340, 70.26, 30
3 1 1, 1.979, 45.86, 22
4 0 0, 1.641, 56.05, 15
3 3 1, 1.506, 61.60, 9
4 4 0, 1.160, 83.29, 9
5 3 1, 1.109, 88.05, 7
5 1 1, 1.263, 75.23, 7
2 0 0, 3.281, 27.18, 5

3.
# Zn5Cl2O9
Theoretical XRD peak list, CuKα. Input: the PBE geometry in Alexandria.

Structural model:
a b c (Å): 6.2157 6.2157 20.8882
angles (deg): 90.00 90.00 120.00
Space group R-3m (No. 166, hexagonal axes)
Symmetry-distinct sites (fractional):
Zn 0.0000 0.0000 0.0806 [6 per cell]
Zn 0.0000 0.5000 0.0000 [9 per cell]
Cl 0.0000 0.0000 0.1889 [6 per cell]
O 0.0000 0.0000 0.3829 [6 per cell]
O 0.0000 0.0000 0.5000 [3 per cell]
O 0.0084 0.5042 0.3822 [18 per cell]

Peak list (10 most intense, 2θ = 15–90°, most intense first)
(hkl), d [Å], two_theta, I_rel
2 0 2, 2.608, 34.39, 100
2 2 0, 1.553, 59.52, 66
0 2 1, 2.669, 33.57, 50
1 1 3, 2.838, 31.52, 41
2 0 5, 2.263, 39.84, 32
1 1 0, 3.108, 28.73, 32
0 1 5, 3.300, 27.02, 27
0 2 10, 1.650, 55.70, 26
0 1 8, 2.349, 38.31, 25
1 1 6, 2.318, 38.84, 25

4.
# Zn6ClO6
Theoretical XRD peak list, CuKα. Input: the PBE geometry in Alexandria.

Structural model:
a b c (Å): 5.6817 5.6817 5.6817
angles (deg): 90.00 90.00 90.00
Space group Pm-3 (No. 200)
Symmetry-distinct sites (fractional):
Zn 0.0000 0.2434 0.5000 [6 per cell]
Cl 0.0000 0.0000 0.0000 [1 per cell]
O 0.0000 0.5000 0.2577 [6 per cell]

Peak list (10 most intense, 2θ = 15–90°, most intense first)
(hkl), d [Å], two_theta, I_rel
2 1 0, 2.541, 35.32, 100
2 1 1, 2.320, 38.82, 68
1 1 0, 4.018, 22.13, 67
2 2 2, 1.640, 56.07, 38
3 1 2, 1.518, 61.02, 32
2 0 0, 2.841, 31.49, 32
3 0 2, 1.576, 58.58, 23
4 0 0, 1.420, 65.74, 22
4 2 1, 1.240, 76.89, 21
3 0 1, 1.797, 50.82, 14

5.
# Os3Cl2
Theoretical XRD peak list, CuKα. Input: the PBE geometry in Alexandria.

Structural model:
a b c (Å): 3.7187 3.7187 8.4773
angles (deg): 90.00 90.00 120.00
Space group P-3m1 (No. 164)
Symmetry-distinct sites (fractional):
Os 0.0000 0.0000 0.0000 [1 per cell]
Os 0.3333 0.6667 0.5579 [2 per cell]
Cl 0.3333 0.6667 0.8634 [2 per cell]

Peak list (10 most intense, 2θ = 15–90°, most intense first)
(hkl), d [Å], two_theta, I_rel
1 0 1, 3.011, 29.67, 100
0 0 2, 4.239, 20.96, 57
1 0 3, 2.124, 42.57, 53
1 1 0, 1.859, 48.99, 36
1 1 2, 1.703, 53.84, 29
0 1 4, 1.770, 51.63, 24
0 2 3, 1.399, 66.89, 16
0 2 1, 1.582, 58.33, 15
2 1 3, 1.118, 87.20, 14
2 1 1, 1.205, 79.56, 13

6.
# OsCl6
Theoretical XRD peak list, CuKα. Input: the PBE geometry in Alexandria.

Structural model:
a b c (Å): 11.4058 11.2944 6.2511
angles (deg): 90.00 90.00 90.00
Space group Pnma (No. 62)
Symmetry-distinct sites (fractional):
Os 0.1235 0.2500 0.0810 [4 per cell]
Cl 0.0033 0.1062 0.2199 [8 per cell]
Cl 0.0151 0.2500 0.7719 [4 per cell]
Cl 0.2310 0.2500 0.3909 [4 per cell]
Cl 0.2437 0.1068 0.9412 [8 per cell]

Peak list (10 most intense, 2θ = 15–90°, most intense first)
(hkl), d [Å], two_theta, I_rel
2 1 0, 5.091, 17.42, 100
1 0 1, 5.477, 16.18, 81
0 2 0, 5.647, 15.69, 76
1 1 1, 4.932, 17.99, 72
1 2 1, 3.933, 22.61, 32
3 3 1, 2.459, 36.54, 31
2 3 0, 3.142, 28.41, 27
2 3 1, 2.807, 31.88, 22
4 4 0, 2.005, 45.22, 20
0 3 3, 1.823, 50.03, 18

7.
# Os4Cl3
Theoretical XRD peak list, CuKα. Input: the PBE geometry in Alexandria.

Structural model:
a b c (Å): 4.5566 4.5566 8.6084
angles (deg): 90.00 90.00 120.00
Space group P6/mmm (No. 191)
Symmetry-distinct sites (fractional):
Os 0.0000 0.0000 0.1353 [2 per cell]
Os 0.3333 0.6667 0.0000 [2 per cell]
Cl 0.0000 0.5000 0.5000 [3 per cell]

Peak list (10 most intense, 2θ = 15–90°, most intense first)
(hkl), d [Å], two_theta, I_rel
1 1 1, 2.202, 40.98, 100
1 1 0, 2.278, 39.56, 65
1 0 3, 2.321, 38.80, 58
1 0 4, 1.889, 48.16, 50
0 0 2, 4.304, 20.64, 44
1 0 2, 2.909, 30.74, 37
2 0 3, 1.626, 56.61, 32
2 1 4, 1.226, 77.93, 24
2 1 3, 1.323, 71.26, 20
3 0 1, 1.300, 72.72, 19

8.
# Os6Cl7
Theoretical XRD peak list, CuKα. Input: the PBE geometry in Alexandria.

Structural model:
a b c (Å): 9.7799 9.7799 17.2517
angles (deg): 90.00 90.00 120.00
Space group R-3m (No. 166, hexagonal axes)
Symmetry-distinct sites (fractional):
Os 0.0000 0.0000 0.0667 [6 per cell]
Os 0.0000 0.0000 0.1981 [6 per cell]
Os 0.0000 0.0000 0.3598 [6 per cell]
Cl 0.0000 0.0000 0.5000 [3 per cell]
Cl 0.1100 0.2200 0.2762 [18 per cell]

Peak list (10 most intense, 2θ = 15–90°, most intense first)
(hkl), d [Å], two_theta, I_rel
1 1 0, 4.890, 18.14, 100
3 0 0, 2.823, 31.69, 21
2 2 0, 2.445, 36.76, 17
2 1 7, 1.953, 46.50, 16
4 1 0, 1.848, 49.31, 15
1 3 7, 1.700, 53.92, 11
0 2 7, 2.130, 42.44, 11
1 0 7, 2.366, 38.03, 10
3 3 0, 1.630, 56.45, 7
5 2 0, 1.356, 69.28, 6

9.
# Pr6POs2Cl3
Theoretical XRD peak list, CuKα. Input: the PBE geometry in Alexandria.

Structural model:
a b c (Å): 7.2567 12.5718 7.8022
angles (deg): 90.00 108.17 90.00
Space group C2/m (No. 12)
Symmetry-distinct sites (fractional):
Pr 0.2245 0.0000 0.2071 [4 per cell]
Pr 0.2402 0.3280 0.2079 [8 per cell]
P 0.0000 0.5000 0.0000 [2 per cell]
Os 0.0000 0.1671 0.0000 [4 per cell]
Cl 0.0000 0.0000 0.5000 [2 per cell]
Cl 0.0000 0.3371 0.5000 [4 per cell]

Peak list (10 most intense, 2θ = 15–90°, most intense first)
(hkl), d [Å], two_theta, I_rel
2 0 -2, 3.039, 29.39, 100
0 6 0, 2.095, 43.18, 38
1 3 -3, 2.207, 40.89, 32
2 6 -2, 1.725, 53.10, 19
5 3 -3, 1.332, 70.75, 15
1 3 2, 2.389, 37.65, 13
2 0 3, 1.766, 51.76, 12
3 3 0, 2.016, 44.96, 10
4 0 -4, 1.519, 60.98, 9
1 3 -1, 3.450, 25.83, 8

10.
# OsPbCl
Theoretical XRD peak list, CuKα. Input: the PBE geometry in Alexandria.

Structural model:
a b c (Å): 3.0195 5.6871 16.0401
angles (deg): 90.00 90.00 90.00
Space group Fmm2 (No. 42)
Symmetry-distinct sites (fractional):
Os 0.0000 0.0000 0.0000 [4 per cell]
Pb 0.0000 0.0000 0.6555 [4 per cell]
Cl 0.0000 0.0000 0.3877 [4 per cell]

Peak list (10 most intense, 2θ = 15–90°, most intense first)
(hkl), d [Å], two_theta, I_rel
1 1 3, 2.386, 37.69, 100
0 2 0, 2.844, 31.46, 45
0 0 6, 2.676, 33.49, 43
1 1 5, 2.051, 44.16, 27
1 3 3, 1.538, 60.18, 26
0 2 6, 1.948, 46.63, 22
1 1 9, 1.482, 62.69, 19
1 1 1, 2.631, 34.08, 19
2 2 6, 1.193, 80.51, 18
0 0 4, 4.010, 22.17, 14

11.
# Rb2OsPbCl6
Theoretical XRD peak list, CuKα. Input: the PBE geometry in Alexandria.

Structural model:
a b c (Å): 10.5104 10.5104 10.5104
angles (deg): 90.00 90.00 90.00
Space group Fm-3m (No. 225)
Symmetry-distinct sites (fractional):
Rb 0.2500 0.2500 0.2500 [8 per cell]
Os 0.0000 0.0000 0.0000 [4 per cell]
Pb 0.0000 0.0000 0.5000 [4 per cell]
Cl 0.0000 0.0000 0.2293 [24 per cell]

Peak list (10 most intense, 2θ = 15–90°, most intense first)
(hkl), d [Å], two_theta, I_rel
2 2 0, 3.716, 23.95, 100
4 0 0, 2.628, 34.12, 50
4 2 2, 2.145, 42.12, 45
2 0 0, 5.255, 16.87, 40
4 4 0, 1.858, 49.03, 34
6 4 2, 1.405, 66.58, 26
6 2 0, 1.662, 55.28, 23
4 2 0, 2.350, 38.30, 20
8 4 0, 1.175, 82.00, 14
6 6 0, 1.239, 76.98, 12

12.
# Pm3OsCl2
Theoretical XRD peak list, CuKα. Input: the PBE geometry in Alexandria.

Structural model:
a b c (Å): 4.0558 5.7475 14.1444
angles (deg): 90.00 90.00 90.00
Space group Immm (No. 71)
Symmetry-distinct sites (fractional):
Pm 0.0000 0.0000 0.0000 [2 per cell]
Pm 0.0000 0.0000 0.3676 [4 per cell]
Os 0.0000 0.5000 0.0000 [2 per cell]
Cl 0.0000 0.5000 0.3177 [4 per cell]

Peak list (10 most intense, 2θ = 15–90°, most intense first)
(hkl), d [Å], two_theta, I_rel
1 0 3, 3.075, 29.04, 100
1 2 3, 2.099, 43.09, 68
0 2 0, 2.874, 31.12, 50
0 1 1, 5.325, 16.65, 39
1 1 4, 2.418, 37.18, 26
1 0 5, 2.320, 38.81, 21
1 2 5, 1.805, 50.56, 20
2 2 0, 1.657, 55.46, 19
2 0 0, 2.028, 44.69, 18
1 4 3, 1.302, 72.63, 16